Computed X-ray powder pattern of ZnNi23Pt6 for Cu Kα (λ = 1.5418 Å), from a PBE-relaxed structure.

The 8 most intense peaks (10 to 90 degrees two-theta), by intensity:
(hkl)  2θ (°)  d_spacing  intensity
4 4 0  45.1  2.009  100
3 3 3  41.3  2.187  33
2 2 2  27.2  3.280  21
8 4 4  83.3  1.160  21
4 0 0  31.5  2.840  19
4 2 0  35.3  2.541  17
4 2 2  38.8  2.319  14
7 7 3  89.2  1.098  12

Crystal structure
abc: 11.362 11.362 11.362
angles: 90.00 90.00 90.00
Space group Fm-3m (No. 225)
Inequivalent atoms, fractional coordinates:
Zn1 0.000 0.000 0.000 [4 per cell]
Ni1 0.000 0.000 0.500 [4 per cell]
Ni2 0.000 0.250 0.250 [24 per cell]
Ni3 0.122 0.122 0.378 [32 per cell]
Ni4 0.166 0.166 0.166 [32 per cell]
Pt1 0.000 0.000 0.228 [24 per cell]